[1]
Structure and theoretical powder X-ray diffraction pattern of Ca3Cd6Hg5 (the PBE geometry in Alexandria; Cu Ka).
Kinematic intensities with the Lorentz-polarization factor, no thermal factor.

Crystal structure
```
data_Ca3Cd6Hg5
_chemical_formula_sum 'Ca6 Cd12 Hg10'
_space_group_name_H-M_alt 'P 1'
_space_group_IT_number 1
_cell_length_a 4.5921
_cell_length_b 13.7080
_cell_length_c 11.3521
_cell_angle_alpha 90.00
_cell_angle_beta 90.00
_cell_angle_gamma 90.00
loop_
_space_group_symop_operation_xyz
'x,y,z'
loop_
_atom_site_label
_atom_site_fract_x
_atom_site_fract_y
_atom_site_fract_z
Ca1 0.2500 0.0499 0.2477
Ca2 0.2500 0.4501 0.2477
Ca3 0.2500 0.7500 0.2481
Ca4 0.7500 0.2500 0.7519
Ca5 0.7500 0.5499 0.7523
Ca6 0.7500 0.9501 0.7523
Cd1 0.2500 0.1006 0.6044
Cd2 0.2500 0.2500 0.0455
Cd3 0.2500 0.2500 0.4118
Cd4 0.2500 0.3994 0.6044
Cd5 0.2500 0.5937 0.9821
Cd6 0.2500 0.9063 0.9821
Cd7 0.7500 0.0937 0.0179
Cd8 0.7500 0.4063 0.0179
Cd9 0.7500 0.6006 0.3956
Cd10 0.7500 0.7500 0.5882
Cd11 0.7500 0.7500 0.9545
Cd12 0.7500 0.8994 0.3956
Hg1 0.2500 0.0989 0.8555
Hg2 0.2500 0.4011 0.8555
Hg3 0.2500 0.6118 0.5509
Hg4 0.2500 0.7500 0.7808
Hg5 0.2500 0.8882 0.5509
Hg6 0.7500 0.1118 0.4491
Hg7 0.7500 0.2500 0.2192
Hg8 0.7500 0.3882 0.4491
Hg9 0.7500 0.5989 0.1445
Hg10 0.7500 0.9011 0.1445
```

Main lines, by angle (2θ from 5° to 70°):
2θ/deg  I_rel
20.90  81
31.81  100
33.35  33
33.58  23
37.84  32
39.24  49
39.44  29
40.59  51
56.84  22
60.90  27

***

[2]
Structure and theoretical powder X-ray diffraction pattern of V3CrMo3 (the PBE geometry in Alexandria; Cu Ka).
Kinematic intensities with the Lorentz-polarization factor, no thermal factor.

Crystal structure
```
data_V3CrMo3
_chemical_formula_sum 'V12 Cr4 Mo12'
_space_group_name_H-M_alt 'P 1'
_space_group_IT_number 1
_cell_length_a 10.0683
_cell_length_b 4.2799
_cell_length_c 9.7007
_cell_angle_alpha 90.00
_cell_angle_beta 90.00
_cell_angle_gamma 90.00
loop_
_space_group_symop_operation_xyz
'x,y,z'
loop_
_atom_site_label
_atom_site_fract_x
_atom_site_fract_y
_atom_site_fract_z
V1 0.0910 0.2500 0.1631
V2 0.1711 0.7500 0.8247
V3 0.1851 0.7500 0.5274
V4 0.3149 0.2500 0.0274
V5 0.3289 0.2500 0.3247
V6 0.4090 0.7500 0.6631
V7 0.5910 0.2500 0.3369
V8 0.6711 0.7500 0.6753
V9 0.6851 0.7500 0.9726
V10 0.8149 0.2500 0.4726
V11 0.8289 0.2500 0.1753
V12 0.9090 0.7500 0.8369
Cr1 0.0322 0.2500 0.6720
Cr2 0.4678 0.7500 0.1720
Cr3 0.5322 0.2500 0.8280
Cr4 0.9678 0.7500 0.3280
Mo1 0.0491 0.2500 0.9181
Mo2 0.0772 0.2500 0.4200
Mo3 0.2204 0.7500 0.2273
Mo4 0.2796 0.2500 0.7273
Mo5 0.4228 0.7500 0.9200
Mo6 0.4509 0.7500 0.4181
Mo7 0.5491 0.2500 0.5819
Mo8 0.5772 0.2500 0.0800
Mo9 0.7204 0.7500 0.2727
Mo10 0.7796 0.2500 0.7727
Mo11 0.9228 0.7500 0.5800
Mo12 0.9509 0.7500 0.0819
```

Main lines, by angle (2θ from 5° to 70°):
2θ/deg  I_rel
25.50  23
35.93  19
38.67  19
39.24  17
41.32  20
41.63  100
42.23  66
42.70  35
43.84  69
46.18  16

***

[3]
Structure and theoretical powder X-ray diffraction pattern of Yb6Cu23 (the PBE geometry in Alexandria; Cu Ka).
Kinematic intensities with the Lorentz-polarization factor, no thermal factor.

Crystal structure
```
data_Yb6Cu23
_chemical_formula_sum 'Yb6 Cu23'
_space_group_name_H-M_alt 'P 1'
_space_group_IT_number 1
_cell_length_a 8.6195
_cell_length_b 8.6195
_cell_length_c 8.6195
_cell_angle_alpha 60.00
_cell_angle_beta 60.00
_cell_angle_gamma 60.00
loop_
_space_group_symop_operation_xyz
'x,y,z'
loop_
_atom_site_label
_atom_site_fract_x
_atom_site_fract_y
_atom_site_fract_z
Yb1 0.2126 0.2126 0.7874
Yb2 0.2126 0.7874 0.2126
Yb3 0.2126 0.7874 0.7874
Yb4 0.7874 0.2126 0.2126
Yb5 0.7874 0.2126 0.7874
Yb6 0.7874 0.7874 0.2126
Cu1 0.0000 0.0000 0.5000
Cu2 0.0000 0.5000 0.0000
Cu3 0.0000 0.5000 0.5000
Cu4 0.1305 0.6232 0.6232
Cu5 0.1748 0.1748 0.1748
Cu6 0.1748 0.1748 0.4755
Cu7 0.1748 0.4755 0.1748
Cu8 0.3768 0.3768 0.3768
Cu9 0.3768 0.3768 0.8695
Cu10 0.3768 0.8695 0.3768
Cu11 0.4755 0.1748 0.1748
Cu12 0.5000 0.0000 0.0000
Cu13 0.5000 0.0000 0.5000
Cu14 0.5000 0.5000 0.0000
Cu15 0.5000 0.5000 0.5000
Cu16 0.5245 0.8252 0.8252
Cu17 0.6232 0.1305 0.6232
Cu18 0.6232 0.6232 0.1305
Cu19 0.6232 0.6232 0.6232
Cu20 0.8252 0.5245 0.8252
Cu21 0.8252 0.8252 0.5245
Cu22 0.8252 0.8252 0.8252
Cu23 0.8695 0.3768 0.3768
```

Main lines, by angle (2θ from 5° to 70°):
2θ/deg  I_rel
25.31  21
29.31  16
32.00  17
36.10  26
38.37  68
41.93  100
44.60  14
53.70  14
62.35  16
64.91  17